(1)
Structure and simulated X-ray diffraction stick pattern of Li3Sb2P3O12 (DFT lattice parameters and positions (GGA-PBE); copper Kα).
Peak positions follow from Bragg's law for the DFT cell and can differ from measured ones.

Atomic structure:
Unit cell a=15.0460 b=9.2750 c=9.0799 alpha=90.00 beta=121.62 gamma=90.00
Space group C2/c (No. 15)
Symmetry-distinct sites (fractional):
Li: 0.0000 0.1174 0.2500
Li: 0.1793 0.3590 0.2857
Sb: 0.0983 0.2440 0.6444
P: 0.0000 0.4167 0.2500
P: 0.1469 0.0992 0.0733
O: 0.0543 0.1295 0.0977
O: 0.0625 0.4984 0.6890
O: 0.0863 0.3143 0.3964
O: 0.1164 0.1284 0.8863
O: 0.1816 0.0631 0.6168
O: 0.2375 0.1992 0.2068

Most intense lines, 2θ from 15° to 90°, low angle first:
2θ = 18.83°, I = 75, hkl 1 1 1
2θ = 19.14°, I = 59, hkl 0 2 0
2θ = 19.64°, I = 76, hkl 2 0 -2
2θ = 20.14°, I = 100, hkl 3 1 -1
2θ = 22.93°, I = 66, hkl 2 2 -1
2θ = 27.56°, I = 48, hkl 2 2 -2
2θ = 33.29°, I = 72, hkl 1 3 1
2θ = 34.05°, I = 54, hkl 3 3 -1



(2)
Structure and simulated X-ray diffraction stick pattern of LiSbP2O8 (DFT lattice parameters and positions (GGA-PBE); copper Kα).
Peak positions follow from Bragg's law for the DFT cell and can differ from measured ones.

Atomic structure:
Unit cell a=4.8949 b=5.9010 c=10.0436 alpha=90.00 beta=90.68 gamma=90.00
Space group P2_1/m (No. 11)
Symmetry-distinct sites (fractional):
Li: 0.0540 0.2500 0.2269
Sb: 0.4775 0.2500 0.7225
P: 0.0951 0.7500 0.0957
P: 0.4275 0.7500 0.5934
O: 0.1353 0.7500 0.9494
O: 0.2188 0.2500 0.8729
O: 0.2485 0.5501 0.1756
O: 0.2691 0.2500 0.3986
O: 0.2843 0.5409 0.6652
O: 0.3099 0.7500 0.4455

Most intense lines, 2θ from 15° to 90°, low angle first:
2θ = 17.43°, I = 100, hkl 0 1 1
2θ = 17.66°, I = 34, hkl 0 0 2
2θ = 18.12°, I = 45, hkl 1 0 0
2θ = 20.28°, I = 28, hkl 1 0 1
2θ = 25.22°, I = 63, hkl 1 0 -2
2θ = 30.29°, I = 37, hkl 0 2 0
2θ = 35.72°, I = 28, hkl 1 1 -3
2θ = 36.05°, I = 24, hkl 1 1 3